(1)
Simulated PXRD pattern of CdFeCu4Sn2Se8 for Cu Ka, from a cell relaxed with GGA-PBE.
Kinematic intensities with the Lorentz-polarization factor, no thermal factor.

Principal peaks in the range 2θ from 10° to 80°, by angle:
| 2θ/deg | intensity |
| --- | --- |
| 26.59 | 100 |
| 34.47 | 4 |
| 43.92 | 25 |
| 44.22 | 47 |
| 52.08 | 30 |
| 52.61 | 13 |
| 63.85 | 8 |
| 64.78 | 3 |
| 70.44 | 6 |
| 70.88 | 10 |

Crystal structure
```
CdFeCu4Sn2Se8
1.0
5.8310 0.0000 0.0000
0.0000 5.8310 0.0000
0.0000 0.0000 11.5131
Cd Fe Cu Sn Se
1 1 4 2 8
Cartesian
0.0000 0.0000 0.0000
2.9155 2.9155 5.7565
0.0000 2.9155 2.9628
0.0000 2.9155 8.5503
2.9155 0.0000 2.9628
2.9155 0.0000 8.5503
0.0000 0.0000 5.7565
2.9155 2.9155 0.0000
1.4731 1.4731 1.6616
1.4731 4.3580 9.8514
1.5512 1.5512 7.2531
1.5512 4.2798 4.2600
4.2798 1.5512 4.2600
4.2798 4.2798 7.2531
4.3580 1.4731 9.8514
4.3580 4.3580 1.6616
```

(2)
Simulated PXRD pattern of CdGaCu6 for Cu Ka, from a cell relaxed with GGA-PBE.
Kinematic intensities with the Lorentz-polarization factor, no thermal factor.

Principal peaks in the range 2θ from 10° to 80°, by angle:
| 2θ/deg | intensity |
| --- | --- |
| 38.27 | 18 |
| 40.18 | 17 |
| 41.73 | 36 |
| 43.81 | 100 |
| 45.53 | 34 |
| 57.90 | 10 |
| 59.32 | 9 |
| 67.89 | 8 |
| 71.75 | 12 |
| 77.62 | 17 |

Crystal structure
```
CdGaCu6
1.0
4.3292 0.0000 0.0000
0.0000 2.7612 4.4884
0.0000 -2.7612 4.4884
Cd Ga Cu
1 1 6
Cartesian
0.0000 0.0000 0.0000
2.1646 0.0000 6.1081
0.0000 -1.3568 2.2569
0.0000 1.3568 2.2569
0.0000 0.0000 4.4845
2.1646 0.0000 1.6547
2.1646 -1.2944 3.8231
2.1646 1.2944 3.8231
```

(3)
Simulated PXRD pattern of CdGa4Cu15 for Cu Ka, from a cell relaxed with GGA-PBE.
Kinematic intensities with the Lorentz-polarization factor, no thermal factor.

Principal peaks in the range 2θ from 10° to 80°, by angle:
| 2θ/deg | intensity |
| --- | --- |
| 39.08 | 1 |
| 42.03 | 100 |
| 45.43 | 1 |
| 45.70 | 1 |
| 47.80 | 35 |
| 51.12 | 13 |
| 68.27 | 1 |
| 69.91 | 10 |
| 72.58 | 17 |
| 77.22 | 1 |

Crystal structure
```
CdGa4Cu15
1.0
3.8059 0.0000 0.0000
0.0000 3.8059 0.0000
0.0000 0.0000 17.8674
Cd Ga Cu
1 4 15
Cartesian
0.0000 0.0000 0.0000
0.0000 0.0000 3.6615
0.0000 0.0000 7.1920
0.0000 0.0000 10.6754
0.0000 0.0000 14.2059
0.0000 1.9029 1.9348
0.0000 1.9029 5.4363
0.0000 1.9029 8.9337
0.0000 1.9029 12.4310
0.0000 1.9029 15.9325
1.9029 0.0000 1.9348
1.9029 0.0000 5.4363
1.9029 0.0000 8.9337
1.9029 0.0000 12.4310
1.9029 0.0000 15.9325
1.9029 1.9029 0.0000
1.9029 1.9029 3.6963
1.9029 1.9029 7.1904
1.9029 1.9029 10.6770
1.9029 1.9029 14.1711
```

(4)
Simulated PXRD pattern of Mg2CdGa2Cu5 for Cu Ka, from a cell relaxed with GGA-PBE.
Kinematic intensities with the Lorentz-polarization factor, no thermal factor.

Principal peaks in the range 2θ from 10° to 80°, by angle:
| 2θ/deg | intensity |
| --- | --- |
| 19.58 | 22 |
| 21.92 | 33 |
| 36.66 | 25 |
| 39.35 | 100 |
| 41.04 | 20 |
| 43.12 | 41 |
| 44.69 | 16 |
| 47.81 | 31 |
| 64.80 | 10 |
| 67.51 | 12 |

Crystal structure
```
Mg2CdGa2Cu5
1.0
9.0686 0.0000 0.0000
0.0000 9.0686 0.0000
0.0000 0.0000 3.8036
Mg Cd Ga Cu
4 2 4 10
Cartesian
1.5945 2.9398 0.0000
2.9398 7.4741 0.0000
6.1288 1.5945 0.0000
7.4741 6.1288 0.0000
0.0000 0.0000 0.0000
4.5343 4.5343 0.0000
1.0931 5.6275 0.0000
3.4412 1.0931 0.0000
5.6275 7.9755 0.0000
7.9755 3.4412 0.0000
0.0000 4.5343 1.9018
0.5979 7.1741 1.9018
1.8945 0.5979 1.9018
2.6398 5.1323 1.9018
3.9364 2.6398 1.9018
4.5343 0.0000 1.9018
5.1323 6.4289 1.9018
6.4289 3.9364 1.9018
7.1741 8.4707 1.9018
8.4707 1.8945 1.9018
```

(5)
Simulated PXRD pattern of Cd2GaCuS4 for Cu Ka, from a cell relaxed with GGA-PBE.
Kinematic intensities with the Lorentz-polarization factor, no thermal factor.

Principal peaks in the range 2θ from 10° to 80°, by angle:
| 2θ/deg | intensity |
| --- | --- |
| 25.90 | 100 |
| 26.98 | 63 |
| 29.08 | 26 |
| 29.19 | 41 |
| 29.38 | 72 |
| 37.89 | 24 |
| 45.68 | 72 |
| 48.94 | 32 |
| 49.28 | 21 |
| 53.89 | 17 |

Crystal structure
```
Cd2GaCuS4
1.0
7.4099 -1.9847 0.0000
7.4099 1.9847 0.0000
-3.1124 0.0000 6.1423
Cd Ga Cu S
2 1 1 4
Cartesian
0.0000 0.0000 0.0000
5.8134 0.0000 3.2665
1.9669 0.0000 3.5841
10.8844 0.0000 0.7174
-0.1247 0.0000 2.5812
3.6232 0.0000 1.9642
5.7436 0.0000 5.7437
9.3833 0.0000 5.0047
```

(6)
Simulated PXRD pattern of Sm2CdGa4Cu3 for Cu Ka, from a cell relaxed with GGA-PBE.
Kinematic intensities with the Lorentz-polarization factor, no thermal factor.

Principal peaks in the range 2θ from 10° to 80°, by angle:
| 2θ/deg | intensity |
| --- | --- |
| 30.04 | 10 |
| 33.12 | 47 |
| 34.58 | 100 |
| 43.00 | 50 |
| 48.09 | 24 |
| 55.33 | 21 |
| 61.03 | 10 |
| 62.44 | 16 |
| 66.46 | 17 |
| 73.38 | 21 |

Crystal structure
```
Sm2CdGa4Cu3
1.0
4.2069 0.0000 0.0000
0.0000 4.2069 0.0000
0.0000 0.0000 10.5929
Sm Cd Ga Cu
2 1 4 3
Cartesian
0.0000 2.1035 2.5280
2.1035 0.0000 8.0649
0.0000 0.0000 5.2964
0.0000 0.0000 0.0000
0.0000 2.1035 6.9012
2.1035 0.0000 3.6916
2.1035 2.1035 0.0000
0.0000 2.1035 9.2789
2.1035 0.0000 1.3140
2.1035 2.1035 5.2964
```